Record 1
Structure and theoretical powder XRD pattern of AcTc2N5 (a structure optimized by DFT (PBE); Cu Kα).

Principal peaks in the range 2θ = 10–90°, in order of rising 2θ:
- 2θ 21.80, rel. 23, (1 1 0)
- 2θ 26.90, rel. 100, (1 1 2)
- 2θ 31.43, rel. 33, (0 0 4)
- 2θ 34.89, rel. 52, (2 0 2)
- 2θ 35.71, rel. 20, (2 1 1)
- 2θ 38.58, rel. 18, (1 1 4)
- 2θ 42.38, rel. 24, (2 1 3)
- 2θ 50.03, rel. 33, (3 1 0)
- 2θ 53.25, rel. 15, (1 1 6)
- 2θ 60.29, rel. 29, (3 1 4)

```
data_AcTc2N5
_space_group_name_H-M_alt 'I 4/m c m'
_space_group_IT_number 140
_space_group_name_Hall '-I 4 2c'
_cell_length_a 5.765
_cell_length_b 5.765
_cell_length_c 11.384
_cell_angle_alpha 90.00
_cell_angle_beta 90.00
_cell_angle_gamma 90.00
loop_
_atom_site_label
_atom_site_type_symbol
_atom_site_fract_x
_atom_site_fract_y
_atom_site_fract_z
Ac1 Ac 0.000 0.000 0.250
Tc1 Tc 0.153 0.347 0.000
N1 N 0.000 0.000 0.000
N2 N 0.142 0.358 0.387
```

=====

Record 2
Structure and theoretical powder XRD pattern of Ac3Tc2N7 (a structure optimized by DFT (PBE); Cu Kα).

Principal peaks in the range 2θ = 10–90°, in order of rising 2θ:
- 2θ 22.70, rel. 31, (0 0 1)
- 2θ 24.12, rel. 33, (0 6 0)
- 2θ 30.01, rel. 91, (1 5 0)
- 2θ 32.15, rel. 100, (1 1 1)
- 2θ 33.36, rel. 89, (0 6 1)
- 2θ 37.96, rel. 38, (1 5 1)
- 2θ 45.07, rel. 28, (2 0 0)
- 2θ 46.35, rel. 26, (0 0 2)
- 2θ 56.24, rel. 76, (1 11 1)
- 2θ 57.22, rel. 40, (2 6 1)

```
data_Ac3Tc2N7
_space_group_name_H-M_alt 'C m m m'
_space_group_IT_number 65
_space_group_name_Hall '-C 2 2'
_cell_length_a 4.023
_cell_length_b 22.132
_cell_length_c 3.918
_cell_angle_alpha 90.00
_cell_angle_beta 90.00
_cell_angle_gamma 90.00
loop_
_atom_site_label
_atom_site_type_symbol
_atom_site_fract_x
_atom_site_fract_y
_atom_site_fract_z
Ac1 Ac 0.000 0.000 0.000
Ac2 Ac 0.000 0.176 0.000
Tc1 Tc 0.000 0.407 0.500
N1 N 0.000 0.092 0.500
N2 N 0.000 0.313 0.500
N3 N 0.000 0.406 0.000
N4 N 0.000 0.500 0.500
```

=====

Record 3
Structure and theoretical powder XRD pattern of Ac2UTcN6 (a structure optimized by DFT (PBE); Cu Kα).

Principal peaks in the range 2θ = 10–90°, in order of rising 2θ:
- 2θ 23.96, rel. 12, (1 0 1)
- 2θ 30.17, rel. 100, (1 0 2)
- 2θ 30.63, rel. 51, (1 1 0)
- 2θ 42.51, rel. 11, (0 0 4)
- 2θ 43.87, rel. 25, (2 0 0)
- 2θ 53.30, rel. 18, (1 1 4)
- 2θ 54.17, rel. 41, (2 1 2)
- 2θ 62.74, rel. 14, (2 0 4)
- 2θ 87.74, rel. 10, (3 1 4)
- 2θ 88.44, rel. 11, (3 2 2)

```
data_Ac2UTcN6
_space_group_name_H-M_alt 'P 4/m m m'
_space_group_IT_number 123
_space_group_name_Hall '-P 4 2'
_cell_length_a 4.127
_cell_length_b 4.127
_cell_length_c 8.506
_cell_angle_alpha 90.00
_cell_angle_beta 90.00
_cell_angle_gamma 90.00
loop_
_atom_site_label
_atom_site_type_symbol
_atom_site_fract_x
_atom_site_fract_y
_atom_site_fract_z
Ac1 Ac 0.000 0.000 0.226
U1 U 0.500 0.500 0.500
Tc1 Tc 0.500 0.500 0.000
N1 N 0.000 0.500 0.000
N2 N 0.000 0.500 0.500
N3 N 0.500 0.500 0.239
```